For ZrCl4, a DFT-relaxed cell (GGA-PBE, the Materials Project) gives the computed XRD peak list in this record (Cu Kα (λ = 1.5418 Å)).
Kinematic intensities with the Lorentz-polarization factor, no thermal factor.

Top 12 peaks for 2θ = 10–90°, in order of rising 2θ:
11.4 deg, I = 51, (0 1 0)
13.9 deg, I = 100, (1 0 0)
18.0 deg, I = 34, (1 1 0)
18.6 deg, I = 67, (0 1 1)
20.2 deg, I = 59, (1 1 -1)
27.3 deg, I = 16, (0 2 1)
33.0 deg, I = 93, (1 2 1)
33.7 deg, I = 47, (2 0 -2)
45.2 deg, I = 21, (2 3 0)
46.8 deg, I = 39, (3 2 -1)
47.8 deg, I = 15, (2 0 2)
48.8 deg, I = 26, (1 2 -3)

Structural model:
a b c (Å): 6.721 7.760 6.380
angles (deg): 90.00 108.82 90.00
Space group P2/c (No. 13)
Symmetry-distinct sites (fractional):
Zr 0.000 0.161 0.250 x2
Cl 0.216 0.103 0.999 x4
Cl 0.246 0.354 0.471 x4